1.
This entry pairs a crystal structure of CaCuSb with its calculated powder diffraction line list. Radiation: copper Kα. Structure: the GGA-PBE geometry in the Materials Project.
No peak broadening, texture or thermal motion is included.

Most intense lines, 2θ = 10–90°, in order of rising 2θ:
d/Å  intensity
4.097  50
3.870  16
3.499  18
2.813  100
2.234  79
2.049  19
1.962  41
1.750  23
1.510  42
1.378  20

Structural model:
abc: 4.4687 4.4687 8.1945
angles: 90.00 90.00 120.00
Space group P6_3/mmc (No. 194)
Inequivalent atoms, fractional coordinates:
1 Ca 0.0000 0.0000 0.0000 (multiplicity 2)
2 Cu 0.3333 0.6667 0.2500 (multiplicity 2)
3 Sb 0.3333 0.6667 0.7500 (multiplicity 2)

***

2.
This entry pairs a crystal structure of BaYF5 with its calculated powder diffraction line list. Radiation: copper Kα. Structure: the GGA-PBE geometry in the Materials Project.
No peak broadening, texture or thermal motion is included.

Most intense lines, 2θ = 10–90°, in order of rising 2θ:
d/Å  intensity
3.842  100
3.607  17
3.436  55
3.265  47
3.217  67
2.141  23
2.131  24
2.088  23
2.075  32
1.870  15

Structural model:
abc: 7.6850 7.6838 8.0776
angles: 90.00 91.28 90.00
Space group P2_1 (No. 4)
Inequivalent atoms, fractional coordinates:
1 Ba 0.1414 0.0000 0.0347 (multiplicity 2)
2 Ba 0.3310 0.4992 0.2354 (multiplicity 2)
3 Y 0.2179 0.9956 0.5188 (multiplicity 2)
4 Y 0.3092 0.4962 0.7586 (multiplicity 2)
5 F 0.0245 0.9976 0.7165 (multiplicity 2)
6 F 0.0560 0.5009 0.6253 (multiplicity 2)
7 F 0.1774 0.6651 0.9571 (multiplicity 2)
8 F 0.1781 0.3337 0.9576 (multiplicity 2)
9 F 0.2359 0.8095 0.3145 (multiplicity 2)
10 F 0.2424 0.1871 0.3190 (multiplicity 2)
11 F 0.3388 0.7876 0.6859 (multiplicity 2)
12 F 0.3428 0.1952 0.6949 (multiplicity 2)
13 F 0.4781 0.4898 0.5386 (multiplicity 2)
14 F 0.4857 0.9985 0.0484 (multiplicity 2)

***

3.
This entry pairs a crystal structure of Sr3P4 with its calculated powder diffraction line list. Radiation: copper Kα. Structure: the GGA-PBE geometry in the Materials Project.
No peak broadening, texture or thermal motion is included.

Most intense lines, 2θ = 10–90°, in order of rising 2θ:
d/Å  intensity
3.973  58
3.593  37
3.130  100
2.718  97
2.699  95
2.360  86
2.067  62
1.839  44
1.559  22
1.290  28

Structural model:
abc: 5.8710 7.7631 9.2153
angles: 83.08 71.42 67.78
Space group P1 (No. 1)
Inequivalent atoms, fractional coordinates:
1 Sr 0.0000 0.0000 0.0000 (multiplicity 1)
2 Sr 0.0702 0.5003 0.8388 (multiplicity 1)
3 Sr 0.3316 0.9887 0.3374 (multiplicity 1)
4 Sr 0.4235 0.4901 0.1625 (multiplicity 1)
5 Sr 0.6596 0.0015 0.6628 (multiplicity 1)
6 Sr 0.7609 0.4962 0.4975 (multiplicity 1)
7 P 0.0209 0.3178 0.1620 (multiplicity 1)
8 P 0.0835 0.1799 0.6592 (multiplicity 1)
9 P 0.1675 0.6663 0.5009 (multiplicity 1)
10 P 0.3262 0.3430 0.5044 (multiplicity 1)
11 P 0.4236 0.1531 0.0070 (multiplicity 1)
12 P 0.4877 0.6795 0.8516 (multiplicity 1)
13 P 0.5804 0.8376 0.9968 (multiplicity 1)
14 P 0.9348 0.8091 0.3508 (multiplicity 1)

***

4.
This entry pairs a crystal structure of Li2FeGeS4 with its calculated powder diffraction line list. Radiation: copper Kα. Structure: the GGA-PBE geometry in the Materials Project.
No peak broadening, texture or thermal motion is included.

Most intense lines, 2θ = 10–90°, in order of rising 2θ:
d/Å  intensity
5.066  89
4.898  100
3.371  69
3.325  46
3.142  66
2.970  51
1.955  29
1.928  53
1.779  57
1.643  31

Structural model:
abc: 6.2835 6.6493 10.0220
angles: 90.00 128.71 90.00
Space group Pc (No. 7)
Inequivalent atoms, fractional coordinates:
1 Li 0.0000 0.1573 0.0000 (multiplicity 2)
2 Li 0.2657 0.3320 0.7634 (multiplicity 2)
3 Fe 0.7524 0.3240 0.2522 (multiplicity 2)
4 Ge 0.5018 0.1796 0.5045 (multiplicity 2)
5 S 0.1327 0.1898 0.4966 (multiplicity 2)
6 S 0.3987 0.3212 0.2657 (multiplicity 2)
7 S 0.6271 0.1447 0.0174 (multiplicity 2)
8 S 0.8516 0.3448 0.7411 (multiplicity 2)

***

5.
This entry pairs a crystal structure of CeMg2Ni9 with its calculated powder diffraction line list. Radiation: copper Kα. Structure: the GGA-PBE geometry in the Materials Project.
No peak broadening, texture or thermal motion is included.

Most intense lines, 2θ = 10–90°, in order of rising 2θ:
d/Å  intensity
7.901  32
3.424  19
2.634  15
2.421  32
2.089  25
2.065  100
1.975  27
1.918  18
1.318  22
1.211  16

Structural model:
abc: 4.8432 4.8432 23.7027
angles: 90.00 90.00 120.00
Space group R-3m (No. 166, hexagonal axes)
Inequivalent atoms, fractional coordinates:
1 Ce 0.0000 0.0000 0.0000 (multiplicity 3)
2 Mg 0.0000 0.0000 0.1445 (multiplicity 6)
3 Ni 0.0000 0.0000 0.3338 (multiplicity 6)
4 Ni 0.0000 0.0000 0.5000 (multiplicity 3)
5 Ni 0.0028 0.5014 0.9149 (multiplicity 18)

***

6.
This entry pairs a crystal structure of U2CuSi2O18 with its calculated powder diffraction line list. Radiation: copper Kα. Structure: the GGA-PBE geometry in the Materials Project.
No peak broadening, texture or thermal motion is included.

Most intense lines, 2θ = 10–90°, in order of rising 2θ:
d/Å  intensity
7.989  100
6.063  39
4.882  48
3.995  43
3.508  34
3.342  16
3.083  14
3.077  15
3.024  18
2.984  13

Structural model:
abc: 6.8249 7.0548 8.8618
angles: 72.09 72.09 89.42
Space group P-1 (No. 2)
Inequivalent atoms, fractional coordinates:
1 U 0.1390 0.2538 0.4903 (multiplicity 2)
2 Cu 0.5000 0.5000 0.0000 (multiplicity 1)
3 Si 0.3531 0.7720 0.4393 (multiplicity 2)
4 O 0.0197 0.8477 0.0251 (multiplicity 2)
5 O 0.0552 0.1676 0.7208 (multiplicity 2)
6 O 0.1880 0.5802 0.4825 (multiplicity 2)
7 O 0.1875 0.9325 0.4845 (multiplicity 2)
8 O 0.2031 0.3413 0.2628 (multiplicity 2)
9 O 0.2969 0.5414 0.9082 (multiplicity 2)
10 O 0.4043 0.7378 0.0058 (multiplicity 2)
11 O 0.4744 0.2657 0.4658 (multiplicity 2)
12 O 0.4945 0.1488 0.7585 (multiplicity 2)